For Sm19Y6Tm4, the GGA-PBE geometry in Alexandria gives the calculated powder diffraction line list in this record (Cu Kα (λ = 1.5418 Å)).
Lines closer than 0.1° are merged.

Most intense lines, 10° ≤ 2θ ≤ 90°, by intensity:
2θ (°)	Rel. int.
30.15	100
36.43	53
28.39	48
34.95	33
26.52	32
53.55	24
59.73	22
33.42	19

Structural model:
a = 10.8916 Å, b = 10.8916 Å, c = 10.8916 Å
α = 109.47°, β = 109.47°, γ = 109.47°
Atoms (fractional coordinates):
Sm 0.0000 0.0000 0.0000
Sm 0.0000 0.2578 0.2578
Sm 0.0000 0.7422 0.7422
Sm 0.0229 0.8056 0.3440
Sm 0.1944 0.2173 0.5384
Sm 0.2173 0.5384 0.1944
Sm 0.2578 0.0000 0.2578
Sm 0.2578 0.2578 0.0000
Sm 0.3210 0.7827 0.9771
Sm 0.3440 0.0229 0.8056
Sm 0.4616 0.6790 0.6560
Sm 0.5384 0.1944 0.2173
Sm 0.6560 0.4616 0.6790
Sm 0.6790 0.6560 0.4616
Sm 0.7422 0.0000 0.7422
Sm 0.7422 0.7422 0.0000
Sm 0.7827 0.9771 0.3210
Sm 0.8056 0.3440 0.0229
Sm 0.9771 0.3210 0.7827
Y 0.1274 0.6274 0.5000
Y 0.3726 0.5000 0.8726
Y 0.5000 0.1274 0.6274
Y 0.5000 0.8726 0.3726
Y 0.6274 0.5000 0.1274
Y 0.8726 0.3726 0.5000
Tm 0.0000 0.0000 0.6402
Tm 0.0000 0.6402 0.0000
Tm 0.3598 0.3598 0.3598
Tm 0.6402 0.0000 0.0000